[1]
Diffraction record for MnFeBr4. The powder XRD pattern is calculated, not measured: it uses a cell relaxed with PBE and Cu Ka.
Peak positions follow from Bragg's law for the DFT cell and can differ from measured ones.

Main lines, low angle first (2θ from 10° to 90°):
| 2θ/deg | intensity |
| --- | --- |
| 16.4 | 41 |
| 24.1 | 51 |
| 26.1 | 100 |
| 27.4 | 73 |
| 35.8 | 19 |
| 37.2 | 23 |
| 41.1 | 25 |
| 44.8 | 52 |
| 46.8 | 30 |
| 49.3 | 31 |
| 52.5 | 37 |
| 72.3 | 13 |

Lattice parameters (Å, degrees): 6.840 6.840 8.785 90.00 90.00 90.12
Fractional coordinates of all 12 atoms:
Mn (0.168, 0.832, 0.750)
Mn (0.832, 0.168, 0.250)
Fe (0.338, 0.338, 0.000)
Fe (0.662, 0.662, 0.500)
Br (0.202, 0.210, 0.237)
Br (0.210, 0.202, 0.763)
Br (0.287, 0.694, 0.998)
Br (0.306, 0.713, 0.502)
Br (0.694, 0.287, 0.002)
Br (0.713, 0.306, 0.498)
Br (0.790, 0.798, 0.263)
Br (0.798, 0.790, 0.737)

[2]
Diffraction record for MnFeRhBr2. The powder XRD pattern is calculated, not measured: it uses a cell relaxed with PBE and Cu Ka.
Peak positions follow from Bragg's law for the DFT cell and can differ from measured ones.

Main lines, low angle first (2θ from 10° to 90°):
| 2θ/deg | intensity |
| --- | --- |
| 17.6 | 47 |
| 18.6 | 41 |
| 25.7 | 34 |
| 31.3 | 58 |
| 35.5 | 100 |
| 37.7 | 42 |
| 40.4 | 23 |
| 44.4 | 15 |
| 51.1 | 34 |
| 52.8 | 62 |
| 61.2 | 15 |
| 65.2 | 32 |

Lattice parameters (Å, degrees): 5.051 5.051 4.775 90.00 90.00 90.00
Fractional coordinates of all 5 atoms:
Mn (0.000, 0.000, 0.000)
Fe (0.500, 0.500, 0.000)
Rh (0.500, 0.500, 0.500)
Br (0.000, 0.500, 0.500)
Br (0.500, 0.000, 0.500)

[3]
Diffraction record for Ti2FeMoBr. The powder XRD pattern is calculated, not measured: it uses a cell relaxed with PBE and Cu Ka.
Peak positions follow from Bragg's law for the DFT cell and can differ from measured ones.

Main lines, low angle first (2θ from 10° to 90°):
| 2θ/deg | intensity |
| --- | --- |
| 19.2 | 11 |
| 27.3 | 49 |
| 28.6 | 61 |
| 34.7 | 72 |
| 38.9 | 100 |
| 42.8 | 38 |
| 49.0 | 27 |
| 51.5 | 17 |
| 56.2 | 32 |
| 59.3 | 54 |
| 67.8 | 17 |
| 73.2 | 35 |

Lattice parameters (Å, degrees): 4.626 4.626 4.223 90.00 90.00 90.00
Fractional coordinates of all 5 atoms:
Ti (0.000, 0.500, 0.000)
Ti (0.500, 0.000, 0.000)
Fe (0.000, 0.000, 0.500)
Mo (0.500, 0.500, 0.500)
Br (0.000, 0.000, 0.000)

[4]
Diffraction record for FeBr4N. The powder XRD pattern is calculated, not measured: it uses a cell relaxed with PBE and Cu Ka.
Peak positions follow from Bragg's law for the DFT cell and can differ from measured ones.

Main lines, low angle first (2θ from 10° to 90°):
| 2θ/deg | intensity |
| --- | --- |
| 10.0 | 12 |
| 11.3 | 35 |
| 13.4 | 100 |
| 18.2 | 13 |
| 24.6 | 24 |
| 26.4 | 13 |
| 26.9 | 17 |
| 29.3 | 21 |
| 30.9 | 19 |
| 31.6 | 12 |
| 35.7 | 12 |
| 42.9 | 12 |

Lattice parameters (Å, degrees): 9.783 7.834 13.838 90.00 115.64 90.00
Fractional coordinates of all 24 atoms:
Fe (0.165, 0.204, 0.305)
Fe (0.165, 0.796, 0.805)
Fe (0.835, 0.204, 0.195)
Fe (0.835, 0.796, 0.695)
Br (0.023, 0.332, 0.130)
Br (0.023, 0.668, 0.630)
Br (0.157, 0.102, 0.850)
Br (0.157, 0.898, 0.350)
Br (0.326, 0.114, 0.182)
Br (0.326, 0.886, 0.682)
Br (0.388, 0.255, 0.459)
Br (0.388, 0.745, 0.959)
Br (0.612, 0.255, 0.041)
Br (0.612, 0.745, 0.541)
Br (0.674, 0.114, 0.318)
Br (0.674, 0.886, 0.818)
Br (0.843, 0.102, 0.650)
Br (0.843, 0.898, 0.150)
Br (0.977, 0.332, 0.370)
Br (0.977, 0.668, 0.870)
N (0.000, 0.240, 0.750)
N (0.000, 0.760, 0.250)
N (0.500, 0.021, 0.750)
N (0.500, 0.979, 0.250)

[5]
Diffraction record for FeBrN2. The powder XRD pattern is calculated, not measured: it uses a cell relaxed with PBE and Cu Ka.
Peak positions follow from Bragg's law for the DFT cell and can differ from measured ones.

Main lines, low angle first (2θ from 10° to 90°):
| 2θ/deg | intensity |
| --- | --- |
| 29.6 | 45 |
| 34.7 | 10 |
| 35.8 | 100 |
| 39.9 | 47 |
| 53.6 | 36 |
| 61.5 | 24 |
| 62.4 | 21 |
| 69.7 | 22 |
| 73.3 | 11 |
| 75.8 | 7 |
| 83.3 | 6 |
| 85.9 | 9 |

Lattice parameters (Å, degrees): 6.285 6.285 6.285 27.75 27.75 27.75
Fractional coordinates of all 4 atoms:
Fe (0.000, 0.000, 0.000)
Br (0.500, 0.500, 0.500)
N (0.386, 0.386, 0.386)
N (0.614, 0.614, 0.614)

[6]
Diffraction record for FeS4Br4N5. The powder XRD pattern is calculated, not measured: it uses a cell relaxed with PBE and Cu Ka.
Peak positions follow from Bragg's law for the DFT cell and can differ from measured ones.

Main lines, low angle first (2θ from 10° to 90°):
| 2θ/deg | intensity |
| --- | --- |
| 12.8 | 40 |
| 14.3 | 100 |
| 14.7 | 56 |
| 16.7 | 51 |
| 18.6 | 47 |
| 21.2 | 62 |
| 22.8 | 45 |
| 23.5 | 48 |
| 23.8 | 69 |
| 25.1 | 93 |
| 27.6 | 54 |
| 34.5 | 65 |

Lattice parameters (Å, degrees): 9.079 9.079 13.853 91.03 91.03 131.27
Fractional coordinates of all 28 atoms:
Fe (0.231, 0.769, 0.500)
Fe (0.769, 0.231, 0.000)
S (0.076, 0.265, 0.271)
S (0.222, 0.405, 0.456)
S (0.265, 0.076, 0.771)
S (0.328, 0.657, 0.305)
S (0.405, 0.222, 0.956)
S (0.462, 0.462, 0.318)
S (0.462, 0.462, 0.818)
S (0.657, 0.328, 0.805)
Br (0.024, 0.771, 0.398)
Br (0.087, 0.601, 0.641)
Br (0.090, 0.524, 0.029)
Br (0.524, 0.090, 0.529)
Br (0.601, 0.087, 0.141)
Br (0.770, 0.801, 0.572)
Br (0.771, 0.024, 0.898)
Br (0.801, 0.770, 0.072)
N (0.036, 0.237, 0.386)
N (0.237, 0.036, 0.886)
N (0.266, 0.287, 0.255)
N (0.278, 0.612, 0.422)
N (0.287, 0.266, 0.755)
N (0.508, 0.663, 0.292)
N (0.602, 0.773, 0.651)
N (0.612, 0.278, 0.922)
N (0.663, 0.508, 0.792)
N (0.773, 0.602, 0.151)

[7]
Diffraction record for NaFeBr3. The powder XRD pattern is calculated, not measured: it uses a cell relaxed with PBE and Cu Ka.
Peak positions follow from Bragg's law for the DFT cell and can differ from measured ones.

Main lines, low angle first (2θ from 10° to 90°):
| 2θ/deg | intensity |
| --- | --- |
| 13.3 | 29 |
| 15.2 | 42 |
| 22.8 | 33 |
| 22.9 | 18 |
| 25.6 | 38 |
| 27.6 | 100 |
| 29.7 | 30 |
| 34.6 | 21 |
| 37.1 | 21 |
| 43.8 | 20 |
| 44.5 | 31 |
| 46.4 | 38 |

Lattice parameters (Å, degrees): 4.134 12.194 12.194 146.90 90.00 90.00
Fractional coordinates of all 10 atoms:
Na (0.250, 0.174, 0.826)
Na (0.750, 0.826, 0.174)
Fe (0.250, 0.320, 0.564)
Fe (0.750, 0.564, 0.320)
Br (0.250, 0.065, 0.495)
Br (0.250, 0.391, 0.239)
Br (0.250, 0.673, 0.899)
Br (0.750, 0.239, 0.391)
Br (0.750, 0.495, 0.065)
Br (0.750, 0.899, 0.673)

[8]
Diffraction record for Na2FeBr5. The powder XRD pattern is calculated, not measured: it uses a cell relaxed with PBE and Cu Ka.
Peak positions follow from Bragg's law for the DFT cell and can differ from measured ones.

Main lines, low angle first (2θ from 10° to 90°):
| 2θ/deg | intensity |
| --- | --- |
| 10.3 | 24 |
| 14.6 | 45 |
| 14.9 | 20 |
| 24.7 | 19 |
| 26.3 | 100 |
| 26.5 | 18 |
| 26.8 | 59 |
| 28.9 | 17 |
| 36.7 | 21 |
| 38.9 | 26 |
| 41.8 | 20 |
| 47.4 | 20 |

Lattice parameters (Å, degrees): 11.876 12.343 8.646 90.00 90.00 90.00
Fractional coordinates of all 32 atoms:
Na (0.000, 0.000, 0.221)
Na (0.000, 0.000, 0.779)
Na (0.120, 0.340, 0.000)
Na (0.380, 0.840, 0.500)
Na (0.500, 0.500, 0.279)
Na (0.500, 0.500, 0.721)
Na (0.620, 0.160, 0.500)
Na (0.880, 0.660, 0.000)
Fe (0.243, 0.236, 0.500)
Fe (0.257, 0.736, 0.000)
Fe (0.743, 0.264, 0.000)
Fe (0.757, 0.764, 0.500)
Br (0.061, 0.158, 0.500)
Br (0.119, 0.119, 0.000)
Br (0.123, 0.593, 0.000)
Br (0.229, 0.847, 0.218)
Br (0.229, 0.847, 0.782)
Br (0.271, 0.347, 0.282)
Br (0.271, 0.347, 0.718)
Br (0.377, 0.093, 0.500)
Br (0.381, 0.619, 0.500)
Br (0.439, 0.658, 0.000)
Br (0.561, 0.342, 0.000)
Br (0.619, 0.381, 0.500)
Br (0.623, 0.907, 0.500)
Br (0.729, 0.653, 0.282)
Br (0.729, 0.653, 0.718)
Br (0.771, 0.153, 0.218)
Br (0.771, 0.153, 0.782)
Br (0.877, 0.407, 0.000)
Br (0.881, 0.881, 0.000)
Br (0.939, 0.842, 0.500)

[9]
Diffraction record for Na2FeBr. The powder XRD pattern is calculated, not measured: it uses a cell relaxed with PBE and Cu Ka.
Peak positions follow from Bragg's law for the DFT cell and can differ from measured ones.

Main lines, low angle first (2θ from 10° to 90°):
| 2θ/deg | intensity |
| --- | --- |
| 20.5 | 3 |
| 23.8 | 30 |
| 33.8 | 100 |
| 39.9 | 2 |
| 41.8 | 9 |
| 48.6 | 17 |
| 54.8 | 11 |
| 60.5 | 34 |
| 71.2 | 10 |
| 76.3 | 5 |
| 81.2 | 14 |
| 86.1 | 3 |

Lattice parameters (Å, degrees): 5.298 5.298 5.298 60.00 60.00 60.00
Fractional coordinates of all 4 atoms:
Na (0.250, 0.250, 0.250)
Na (0.750, 0.750, 0.750)
Fe (0.000, 0.000, 0.000)
Br (0.500, 0.500, 0.500)

[10]
Diffraction record for NaSrFe2Br8. The powder XRD pattern is calculated, not measured: it uses a cell relaxed with PBE and Cu Ka.
Peak positions follow from Bragg's law for the DFT cell and can differ from measured ones.

Main lines, low angle first (2θ from 10° to 90°):
| 2θ/deg | intensity |
| --- | --- |
| 17.1 | 55 |
| 26.0 | 23 |
| 27.1 | 100 |
| 31.0 | 81 |
| 36.8 | 15 |
| 43.8 | 39 |
| 45.2 | 47 |
| 51.6 | 13 |
| 52.8 | 18 |
| 53.4 | 16 |
| 55.8 | 13 |
| 72.5 | 17 |

Lattice parameters (Å, degrees): 6.956 6.956 10.296 90.00 90.00 120.00
Fractional coordinates of all 12 atoms:
Na (0.000, 0.000, 0.000)
Sr (0.000, 0.000, 0.500)
Fe (0.333, 0.667, 0.765)
Fe (0.667, 0.333, 0.235)
Br (0.003, 0.336, 0.694)
Br (0.333, 0.667, 0.993)
Br (0.333, 0.997, 0.694)
Br (0.336, 0.333, 0.306)
Br (0.664, 0.667, 0.694)
Br (0.667, 0.003, 0.306)
Br (0.667, 0.333, 0.007)
Br (0.997, 0.664, 0.306)

[11]
Diffraction record for Nd3FeBr3. The powder XRD pattern is calculated, not measured: it uses a cell relaxed with PBE and Cu Ka.
Peak positions follow from Bragg's law for the DFT cell and can differ from measured ones.

Main lines, low angle first (2θ from 10° to 90°):
| 2θ/deg | intensity |
| --- | --- |
| 10.6 | 32 |
| 28.2 | 27 |
| 30.2 | 100 |
| 35.5 | 17 |
| 38.7 | 7 |
| 43.2 | 68 |
| 53.6 | 22 |
| 57.1 | 14 |
| 61.6 | 12 |
| 62.7 | 9 |
| 71.1 | 24 |
| 79.2 | 16 |

Lattice parameters (Å, degrees): 10.267 10.267 10.267 109.47 109.47 109.47
Fractional coordinates of all 28 atoms:
Nd (0.017, 0.035, 0.267)
Nd (0.017, 0.483, 0.750)
Nd (0.035, 0.267, 0.017)
Nd (0.233, 0.267, 0.750)
Nd (0.233, 0.465, 0.483)
Nd (0.267, 0.017, 0.035)
Nd (0.267, 0.750, 0.233)
Nd (0.465, 0.483, 0.233)
Nd (0.483, 0.233, 0.465)
Nd (0.483, 0.750, 0.017)
Nd (0.750, 0.017, 0.483)
Nd (0.750, 0.233, 0.267)
Fe (0.000, 0.250, 0.500)
Fe (0.250, 0.250, 0.250)
Fe (0.250, 0.500, 0.000)
Fe (0.500, 0.000, 0.250)
Br (0.250, 0.757, 0.743)
Br (0.250, 0.993, 0.507)
Br (0.507, 0.250, 0.993)
Br (0.507, 0.757, 0.514)
Br (0.514, 0.507, 0.757)
Br (0.743, 0.250, 0.757)
Br (0.743, 0.993, 0.986)
Br (0.757, 0.514, 0.507)
Br (0.757, 0.743, 0.250)
Br (0.986, 0.743, 0.993)
Br (0.993, 0.507, 0.250)
Br (0.993, 0.986, 0.743)

[12]
Diffraction record for FeNiBr. The powder XRD pattern is calculated, not measured: it uses a cell relaxed with PBE and Cu Ka.
Peak positions follow from Bragg's law for the DFT cell and can differ from measured ones.

Main lines, low angle first (2θ from 10° to 90°):
| 2θ/deg | intensity |
| --- | --- |
| 32.9 | 6 |
| 35.5 | 100 |
| 46.1 | 39 |
| 50.2 | 8 |
| 55.8 | 25 |
| 60.4 | 7 |
| 66.3 | 5 |
| 67.9 | 14 |
| 75.2 | 8 |
| 77.7 | 8 |
| 78.4 | 12 |
| 86.8 | 3 |

Lattice parameters (Å, degrees): 3.295 3.295 5.448 90.00 90.00 120.00
Fractional coordinates of all 3 atoms:
Fe (0.000, 0.000, 0.000)
Ni (0.667, 0.333, 0.254)
Br (0.333, 0.667, 0.651)

Q: What is the formula in the fifth record?
A: FeBrN2